# 1
Starting from a crystal structure in Alexandria, relaxed with PBE, the powder diffractogram of Sr2Mg2Te was simulated for λ = 1.5418 Å (Cu Kα).
Neutral-atom scattering factors, no anomalous dispersion.

Cell and atoms:
```
data_Sr2Mg2Te
_chemical_formula_sum 'Sr4 Mg4 Te2'
_space_group_name_H-M_alt 'P 4/m b m'
_space_group_IT_number 127
_space_group_name_Hall '-P 4 2ab'
_cell_length_a 8.7583
_cell_length_b 8.7583
_cell_length_c 5.2801
_cell_angle_alpha 90.00
_cell_angle_beta 90.00
_cell_angle_gamma 90.00
loop_
_atom_site_label
_atom_site_fract_x
_atom_site_fract_y
_atom_site_fract_z
Sr1 0.1749 0.3251 0.0000
Mg1 0.1246 0.6246 0.5000
Te1 0.0000 0.0000 0.0000
```

Main lines, in order of rising 2θ (5 to 70 degrees two-theta):
Position (°2θ)  d_spacing  I/Imax
16.8  5.280  100
22.1  4.018  45
22.7  3.917  26
28.4  3.146  100
28.8  3.097  30
32.3  2.770  69
33.6  2.671  40
34.0  2.640  36
36.6  2.453  59
47.6  1.911  46

# 2
Starting from a crystal structure in Alexandria, relaxed with PBE, the powder diffractogram of La3HoTe6 was simulated for λ = 1.5418 Å (Cu Kα).
Neutral-atom scattering factors, no anomalous dispersion.

Cell and atoms:
```
data_La3HoTe6
_chemical_formula_sum 'La6 Ho2 Te12'
_space_group_name_H-M_alt 'P 1 21/c 1'
_space_group_IT_number 14
_cell_length_a 7.5336
_cell_length_b 8.4404
_cell_length_c 13.4385
_cell_angle_alpha 90.00
_cell_angle_beta 122.01
_cell_angle_gamma 90.00
loop_
_space_group_symop_operation_xyz
'x,y,z'
'-x,-y,-z'
'-x,y+1/2,-z+1/2'
'x,-y+1/2,z+1/2'
loop_
_atom_site_label
_atom_site_fract_x
_atom_site_fract_y
_atom_site_fract_z
La1 0.0000 0.0000 0.0000
La2 0.3065 0.1157 0.7567
Ho1 0.5000 0.0000 0.5000
Te1 0.0980 0.0534 0.2593
Te2 0.2486 0.6737 0.0804
Te3 0.4180 0.1825 0.0748
```

Main lines, in order of rising 2θ (5 to 70 degrees two-theta):
Position (°2θ)  d_spacing  I/Imax
22.5  3.948  51
25.9  3.440  93
26.8  3.322  56
27.3  3.262  51
28.0  3.187  52
28.7  3.112  100
31.7  2.823  51
34.0  2.635  99
40.2  2.244  57
41.2  2.189  64

# 3
Starting from a crystal structure in Alexandria, relaxed with PBE, the powder diffractogram of NaLi2PaBr8 was simulated for λ = 1.5418 Å (Cu Kα).
Neutral-atom scattering factors, no anomalous dispersion.

Cell and atoms:
```
data_NaLi2PaBr8
_chemical_formula_sum 'Na1 Li2 Pa1 Br8'
_space_group_name_H-M_alt 'P -1'
_space_group_IT_number 2
_cell_length_a 6.9695
_cell_length_b 7.3870
_cell_length_c 9.0897
_cell_angle_alpha 70.82
_cell_angle_beta 87.83
_cell_angle_gamma 76.63
loop_
_space_group_symop_operation_xyz
'x,y,z'
'-x,-y,-z'
loop_
_atom_site_label
_atom_site_fract_x
_atom_site_fract_y
_atom_site_fract_z
Na1 0.0000 0.0000 0.0000
Li1 0.4653 0.3668 0.1635
Pa1 0.0000 0.0000 0.5000
Br1 0.1227 0.2094 0.6560
Br2 0.1290 0.2250 0.2253
Br3 0.3595 0.7409 0.5571
Br4 0.3744 0.7313 0.0540
```

Main lines, in order of rising 2θ (5 to 70 degrees two-theta):
Position (°2θ)  d_spacing  I/Imax
10.3  8.578  78
13.1  6.781  100
13.7  6.455  47
16.2  5.471  51
17.0  5.206  43
28.3  3.155  79
29.3  3.050  82
32.1  2.785  86
42.6  2.123  36
43.5  2.080  51

What is the formula in the third record? NaLi2PaBr8

Copy entry 2 word for word.
Starting from a crystal structure in Alexandria, relaxed with PBE, the powder diffractogram of La3HoTe6 was simulated for λ = 1.5418 Å (Cu Kα).
Neutral-atom scattering factors, no anomalous dispersion.

Cell and atoms:
```
data_La3HoTe6
_chemical_formula_sum 'La6 Ho2 Te12'
_space_group_name_H-M_alt 'P 1 21/c 1'
_space_group_IT_number 14
_cell_length_a 7.5336
_cell_length_b 8.4404
_cell_length_c 13.4385
_cell_angle_alpha 90.00
_cell_angle_beta 122.01
_cell_angle_gamma 90.00
loop_
_space_group_symop_operation_xyz
'x,y,z'
'-x,-y,-z'
'-x,y+1/2,-z+1/2'
'x,-y+1/2,z+1/2'
loop_
_atom_site_label
_atom_site_fract_x
_atom_site_fract_y
_atom_site_fract_z
La1 0.0000 0.0000 0.0000
La2 0.3065 0.1157 0.7567
Ho1 0.5000 0.0000 0.5000
Te1 0.0980 0.0534 0.2593
Te2 0.2486 0.6737 0.0804
Te3 0.4180 0.1825 0.0748
```

Main lines, in order of rising 2θ (5 to 70 degrees two-theta):
Position (°2θ)  d_spacing  I/Imax
22.5  3.948  51
25.9  3.440  93
26.8  3.322  56
27.3  3.262  51
28.0  3.187  52
28.7  3.112  100
31.7  2.823  51
34.0  2.635  99
40.2  2.244  57
41.2  2.189  64

Number 3 is which compound? NaLi2PaBr8